Ag5I: calculated XRD peak list (CuKα), based on a cell relaxed with PBE.
No peak broadening, texture or thermal motion is included.

Largest 12 diffraction maxima, in order of rising 2θ, 5 to 70 degrees two-theta:
12.99°, I = 1; 26.15°, I = 2; 35.66°, I = 100; 39.68°, I = 17; 41.89°, I = 16; 42.61°, I = 15; 44.75°, I = 1; 56.18°, I = 3; 59.06°, I = 10; 59.63°, I = 10; 61.28°, I = 10; 69.40°, I = 10

Atomic structure:
a b c (Å): 7.138 7.138 4.314
angles (deg): 90.00 90.00 145.41
Positions (direct):
1 Ag 0.000 0.000 0.000
2 Ag 0.177 0.823 0.500
3 Ag 0.320 0.680 0.000
4 Ag 0.680 0.320 0.000
5 Ag 0.823 0.177 0.500
6 I 0.500 0.500 0.500



ErSc3O: calculated XRD peak list (CuKα), based on a cell relaxed with PBE.
No peak broadening, texture or thermal motion is included.

Largest 12 diffraction maxima, in order of rising 2θ, 5 to 70 degrees two-theta:
19.95°, I = 24; 20.06°, I = 23; 21.71°, I = 65; 22.56°, I = 50; 26.35°, I = 29; 27.07°, I = 24; 31.04°, I = 22; 34.34°, I = 54; 34.44°, I = 100; 35.45°, I = 76; 35.58°, I = 73; 62.26°, I = 27

Atomic structure:
a b c (Å): 6.008 5.223 6.588
angles (deg): 90.00 90.32 90.00
Positions (direct):
1 Er 0.158 0.000 0.248
2 Er 0.842 0.500 0.752
3 Sc 0.187 0.014 0.748
4 Sc 0.368 0.504 0.502
5 Sc 0.369 0.503 0.997
6 Sc 0.631 0.003 0.003
7 Sc 0.632 0.004 0.498
8 Sc 0.813 0.514 0.252
9 O 0.496 0.752 0.250
10 O 0.504 0.252 0.750



Copy entry 2 word for word.
ErSc3O: calculated XRD peak list (CuKα), based on a cell relaxed with PBE.
No peak broadening, texture or thermal motion is included.

Largest 12 diffraction maxima, in order of rising 2θ, 5 to 70 degrees two-theta:
19.95°, I = 24; 20.06°, I = 23; 21.71°, I = 65; 22.56°, I = 50; 26.35°, I = 29; 27.07°, I = 24; 31.04°, I = 22; 34.34°, I = 54; 34.44°, I = 100; 35.45°, I = 76; 35.58°, I = 73; 62.26°, I = 27

Atomic structure:
a b c (Å): 6.008 5.223 6.588
angles (deg): 90.00 90.32 90.00
Positions (direct):
1 Er 0.158 0.000 0.248
2 Er 0.842 0.500 0.752
3 Sc 0.187 0.014 0.748
4 Sc 0.368 0.504 0.502
5 Sc 0.369 0.503 0.997
6 Sc 0.631 0.003 0.003
7 Sc 0.632 0.004 0.498
8 Sc 0.813 0.514 0.252
9 O 0.496 0.752 0.250
10 O 0.504 0.252 0.750



What did the first record say?
Ag5I: calculated XRD peak list (CuKα), based on a cell relaxed with PBE.
No peak broadening, texture or thermal motion is included.

Largest 12 diffraction maxima, in order of rising 2θ, 5 to 70 degrees two-theta:
12.99°, I = 1; 26.15°, I = 2; 35.66°, I = 100; 39.68°, I = 17; 41.89°, I = 16; 42.61°, I = 15; 44.75°, I = 1; 56.18°, I = 3; 59.06°, I = 10; 59.63°, I = 10; 61.28°, I = 10; 69.40°, I = 10

Atomic structure:
a b c (Å): 7.138 7.138 4.314
angles (deg): 90.00 90.00 145.41
Positions (direct):
1 Ag 0.000 0.000 0.000
2 Ag 0.177 0.823 0.500
3 Ag 0.320 0.680 0.000
4 Ag 0.680 0.320 0.000
5 Ag 0.823 0.177 0.500
6 I 0.500 0.500 0.500



Repeat the first record exactly.
Ag5I: calculated XRD peak list (CuKα), based on a cell relaxed with PBE.
No peak broadening, texture or thermal motion is included.

Largest 12 diffraction maxima, in order of rising 2θ, 5 to 70 degrees two-theta:
12.99°, I = 1; 26.15°, I = 2; 35.66°, I = 100; 39.68°, I = 17; 41.89°, I = 16; 42.61°, I = 15; 44.75°, I = 1; 56.18°, I = 3; 59.06°, I = 10; 59.63°, I = 10; 61.28°, I = 10; 69.40°, I = 10

Atomic structure:
a b c (Å): 7.138 7.138 4.314
angles (deg): 90.00 90.00 145.41
Positions (direct):
1 Ag 0.000 0.000 0.000
2 Ag 0.177 0.823 0.500
3 Ag 0.320 0.680 0.000
4 Ag 0.680 0.320 0.000
5 Ag 0.823 0.177 0.500
6 I 0.500 0.500 0.500